TbPa2Zn6: simulated powder diffractogram (Cu Kα (weighted mean of Kα1 and Kα2)), based on a cell relaxed with GGA-PBE.

Cell and atoms:
```
TbPa2Zn6
1.0
7.929 0.000 0.000
-3.964 6.866 0.000
0.000 0.000 3.219
Tb Pa Zn
1 2 6
direct
0.000 0.000 0.000
0.333 0.667 0.000
0.667 0.333 0.000
0.000 0.333 0.500
0.000 0.667 0.500
0.333 0.000 0.500
0.333 0.333 0.500
0.667 0.000 0.500
0.667 0.667 0.500
```

Most intense lines, 10 to 80 degrees two-theta, low angle first:
d (Å)	Rel. int.
3.964	37
2.499	100
2.289	62
1.982	6
1.688	31
1.610	7
1.498	5
1.358	30
1.321	11
1.317	21